Starting from the GGA-PBE geometry in Alexandria, the XRD peak list of SrPaSnO6 was computed for CuKα.
Kinematic intensities with the Lorentz-polarization factor, no thermal factor.

```
data_SrPaSnO6
_chemical_formula_sum 'Sr2 Pa2 Sn2 O12'
_cell_length_a 5.6750
_cell_length_b 5.6750
_cell_length_c 10.6963
_cell_angle_alpha 90.00
_cell_angle_beta 90.00
_cell_angle_gamma 120.00
_space_group_name_H-M_alt 'P -3 1 c'
_space_group_IT_number 163
_space_group_name_Hall '-P 3 2c'
loop_
_atom_site_label
_atom_site_type_symbol
_atom_site_fract_x
_atom_site_fract_y
_atom_site_fract_z
_atom_site_occupancy
Sr1 Sr 0.0000 0.0000 0.0000 1
Pa1 Pa 0.3333 0.6667 0.2500 1
Sn1 Sn 0.3333 0.6667 0.7500 1
O1 O 0.0095 0.3694 0.6437 1
```

Peak list (8 most intense, 10 to 90 degrees two-theta, by intensity)
2theta  d (Å)  I/Imax
24.60  3.619  100
46.67  1.946  59
31.53  2.837  57
16.58  5.348  47
35.82  2.507  37
52.12  1.755  26
40.39  2.233  26
56.14  1.638  20


Starting from the GGA-PBE geometry in Alexandria, the XRD peak list of PaTi2SnO8 was computed for CuKα.
Kinematic intensities with the Lorentz-polarization factor, no thermal factor.

```
data_PaTi2SnO8
_chemical_formula_sum 'Pa1 Ti2 Sn1 O8'
_cell_length_a 5.9817
_cell_length_b 5.9817
_cell_length_c 6.3870
_cell_angle_alpha 90.00
_cell_angle_beta 90.00
_cell_angle_gamma 120.00
_space_group_name_H-M_alt 'P -3 m 1'
_space_group_IT_number 164
_space_group_name_Hall '-P 3 2"'
loop_
_atom_site_label
_atom_site_type_symbol
_atom_site_fract_x
_atom_site_fract_y
_atom_site_fract_z
_atom_site_occupancy
Pa1 Pa 0.0000 0.0000 0.0000 1
Ti1 Ti 0.3333 0.6667 0.6820 1
Sn1 Sn 0.0000 0.0000 0.5000 1
O1 O 0.1558 0.3116 0.7683 1
O2 O 0.3333 0.6667 0.4205 1
```

Peak list (8 most intense, 10 to 90 degrees two-theta, by intensity)
2theta  d (Å)  I/Imax
17.12  5.180  100
29.87  2.991  56
32.95  2.718  53
22.09  4.023  34
45.07  2.012  33
55.01  1.669  29
41.36  2.183  27
46.37  1.958  14


Starting from the GGA-PBE geometry in Alexandria, the XRD peak list of Sr2PaO4 was computed for CuKα.
Kinematic intensities with the Lorentz-polarization factor, no thermal factor.

```
data_Sr2PaO4
_chemical_formula_sum 'Sr4 Pa2 O8'
_cell_length_a 6.2438
_cell_length_b 10.3230
_cell_length_c 3.6608
_cell_angle_alpha 90.00
_cell_angle_beta 90.00
_cell_angle_gamma 90.00
_space_group_name_H-M_alt 'P b a m'
_space_group_IT_number 55
_space_group_name_Hall '-P 2 2ab'
loop_
_atom_site_label
_atom_site_type_symbol
_atom_site_fract_x
_atom_site_fract_y
_atom_site_fract_z
_atom_site_occupancy
Sr1 Sr 0.0560 0.1766 0.0000 1
Pa1 Pa 0.0000 0.5000 0.5000 1
O1 O 0.1471 0.6898 0.5000 1
O2 O 0.1994 0.4408 0.0000 1
```

Peak list (8 most intense, 10 to 90 degrees two-theta, by intensity)
2theta  d (Å)  I/Imax
29.61  3.017  100
16.59  5.343  36
41.86  2.158  28
29.92  2.986  26
51.28  1.782  18
52.99  1.728  18
28.59  3.122  18
59.05  1.564  13


Starting from the GGA-PBE geometry in Alexandria, the XRD peak list of SrPaTe2O8 was computed for CuKα.
Kinematic intensities with the Lorentz-polarization factor, no thermal factor.

```
data_SrPaTe2O8
_chemical_formula_sum 'Sr2 Pa2 Te4 O16'
_cell_length_a 7.5177
_cell_length_b 7.5177
_cell_length_c 7.0681
_cell_angle_alpha 90.00
_cell_angle_beta 90.00
_cell_angle_gamma 90.00
_space_group_name_H-M_alt 'I -4 m 2'
_space_group_IT_number 119
_space_group_name_Hall 'I -4 -2'
loop_
_atom_site_label
_atom_site_type_symbol
_atom_site_fract_x
_atom_site_fract_y
_atom_site_fract_z
_atom_site_occupancy
Sr1 Sr 0.0000 0.0000 0.0000 1
Pa1 Pa 0.0000 0.5000 0.2500 1
Te1 Te 0.0000 0.0000 0.5000 1
Te2 Te 0.0000 0.5000 0.7500 1
O1 O 0.0000 0.2091 0.3132 1
O2 O 0.0000 0.3240 0.9504 1
```

Peak list (8 most intense, 10 to 90 degrees two-theta, by intensity)
2theta  d (Å)  I/Imax
23.67  3.759  100
30.37  2.943  87
46.01  1.973  69
33.72  2.658  26
58.25  1.584  20
48.43  1.879  17
54.59  1.681  17
57.64  1.599  17